No. 1
Structure and calculated powder X-ray diffraction pattern of BaV2P4O17 (a cell relaxed with PBE+U; CuKα).
Lines closer than 0.1° are merged.

Crystal structure
```
data_BaV2P4O17
_symmetry_space_group_name_H-M 'P 1'
_symmetry_Int_Tables_number 1
_cell_length_a 9.4970
_cell_length_b 7.8549
_cell_length_c 9.5575
_cell_angle_alpha 90.00
_cell_angle_beta 118.52
_cell_angle_gamma 90.00
loop_
_symmetry_equiv_pos_as_xyz
'x,y,z'
loop_
_atom_site_label
_atom_site_fract_x
_atom_site_fract_y
_atom_site_fract_z
_atom_site_occupancy
Ba1 0.1529 0.0000 0.3367 1
Ba2 0.8471 0.5000 0.6633 1
V1 0.2536 0.5137 0.2441 1
V2 0.2579 0.7534 0.7507 1
V3 0.7421 0.2534 0.2493 1
V4 0.7464 0.0137 0.7559 1
P1 0.0822 0.8258 0.9754 1
P2 0.0910 0.4359 0.4764 1
P3 0.4854 0.7007 0.5753 1
P4 0.4954 0.5808 0.0861 1
P5 0.5046 0.0808 0.9139 1
P6 0.5146 0.2007 0.4247 1
P7 0.9090 0.9359 0.5236 1
P8 0.9178 0.3258 0.0246 1
O1 0.0964 0.9113 0.5987 1
O2 0.1061 0.3398 0.1172 1
O3 0.1129 0.2501 0.7819 1
O4 0.1202 0.6864 0.1075 1
O5 0.1265 0.7417 0.8526 1
O6 0.1290 0.5338 0.3555 1
O7 0.1335 0.5623 0.6187 1
O8 0.1618 0.9891 0.0503 1
O9 0.1730 0.2661 0.5208 1
O10 0.3610 0.7751 0.6240 1
O11 0.3684 0.5053 0.1328 1
O12 0.3793 0.9327 0.8769 1
O13 0.3851 0.3447 0.3836 1
O14 0.3893 0.6872 0.3891 1
O15 0.3994 0.5992 0.8980 1
O16 0.4335 0.2435 0.8323 1
O17 0.4363 0.0384 0.3457 1
O18 0.5637 0.5384 0.6543 1
O19 0.5665 0.7435 0.1677 1
O20 0.6006 0.0992 0.1020 1
O21 0.6107 0.1872 0.6109 1
O22 0.6149 0.8447 0.6164 1
O23 0.6207 0.4327 0.1231 1
O24 0.6316 0.0053 0.8672 1
O25 0.6390 0.2751 0.3760 1
O26 0.8270 0.7661 0.4792 1
O27 0.8382 0.4891 0.9497 1
O28 0.8665 0.0623 0.3813 1
O29 0.8710 0.0338 0.6445 1
O30 0.8735 0.2417 0.1474 1
O31 0.8798 0.1864 0.8925 1
O32 0.8871 0.7501 0.2181 1
O33 0.8939 0.8398 0.8828 1
O34 0.9036 0.4113 0.4013 1
```

Peak list (10 most intense, 2θ from 10° to 90°, by angle)
- 10.6°, 8.374 Å, I 29
- 15.5°, 5.726 Å, I 42
- 15.6°, 5.669 Å, I 23
- 18.7°, 4.747 Å, I 16
- 24.0°, 3.703 Å, I 30
- 25.1°, 3.554 Å, I 19
- 29.2°, 3.057 Å, I 100
- 29.5°, 3.030 Å, I 18
- 30.9°, 2.895 Å, I 52
- 31.0°, 2.882 Å, I 39


No. 2
Structure and calculated powder X-ray diffraction pattern of Mn2O3F (a cell relaxed with PBE+U; CuKα).
Lines closer than 0.1° are merged.

Crystal structure
```
data_Mn2O3F
_symmetry_space_group_name_H-M 'P 1'
_symmetry_Int_Tables_number 1
_cell_length_a 5.7823
_cell_length_b 6.3704
_cell_length_c 8.2549
_cell_angle_alpha 90.00
_cell_angle_beta 90.00
_cell_angle_gamma 90.00
loop_
_symmetry_equiv_pos_as_xyz
'x,y,z'
loop_
_atom_site_label
_atom_site_fract_x
_atom_site_fract_y
_atom_site_fract_z
_atom_site_occupancy
Mn1 0.0000 0.0000 0.0000 1
Mn2 0.0000 0.5000 0.0000 1
Mn3 0.2190 0.2500 0.2479 1
Mn4 0.2810 0.7500 0.7479 1
Mn5 0.5000 0.0000 0.5000 1
Mn6 0.5000 0.5000 0.5000 1
Mn7 0.7190 0.2500 0.2521 1
Mn8 0.7810 0.7500 0.7521 1
O1 0.0289 0.5482 0.7664 1
O2 0.0289 0.9518 0.7664 1
O3 0.1978 0.2500 0.0167 1
O4 0.3022 0.7500 0.5167 1
O5 0.4711 0.0482 0.2664 1
O6 0.4711 0.4518 0.2664 1
O7 0.5289 0.5482 0.7336 1
O8 0.5289 0.9518 0.7336 1
O9 0.6978 0.2500 0.4833 1
O10 0.8022 0.7500 0.9833 1
O11 0.9711 0.0482 0.2336 1
O12 0.9711 0.4518 0.2336 1
F1 0.2190 0.2500 0.4838 1
F2 0.2810 0.7500 0.9838 1
F3 0.7190 0.2500 0.0162 1
F4 0.7810 0.7500 0.5162 1
```

Peak list (10 most intense, 2θ from 10° to 90°, by angle)
- 17.6°, 5.043 Å, I 100
- 18.7°, 4.736 Å, I 65
- 33.9°, 2.643 Å, I 24
- 35.6°, 2.524 Å, I 18
- 35.8°, 2.508 Å, I 13
- 42.2°, 2.141 Å, I 51
- 43.9°, 2.064 Å, I 26
- 54.8°, 1.676 Å, I 10
- 57.9°, 1.593 Å, I 8
- 62.5°, 1.486 Å, I 25


No. 3
Structure and calculated powder X-ray diffraction pattern of Li6VCr3P6O24 (a cell relaxed with PBE+U; CuKα).
Lines closer than 0.1° are merged.

Crystal structure
```
data_Li6VCr3P6O24
_symmetry_space_group_name_H-M 'P 1'
_symmetry_Int_Tables_number 1
_cell_length_a 8.5995
_cell_length_b 8.6123
_cell_length_c 8.6211
_cell_angle_alpha 61.31
_cell_angle_beta 61.09
_cell_angle_gamma 61.27
loop_
_symmetry_equiv_pos_as_xyz
'x,y,z'
loop_
_atom_site_label
_atom_site_fract_x
_atom_site_fract_y
_atom_site_fract_z
_atom_site_occupancy
Li1 0.0000 0.0000 0.0000 1
Li2 0.0978 0.5068 0.9012 1
Li3 0.2806 0.8576 0.6446 1
Li4 0.5065 0.6974 0.3012 1
Li5 0.7209 0.3536 0.1429 1
Li6 0.9012 0.1119 0.4894 1
V1 0.1054 0.7052 0.5016 1
Cr1 0.3933 0.9975 0.7858 1
Cr2 0.6081 0.2133 0.0021 1
Cr3 0.8959 0.4988 0.2931 1
P1 0.0015 0.3035 0.6923 1
P2 0.2083 0.1036 0.1839 1
P3 0.2993 0.6038 0.0959 1
P4 0.5028 0.3919 0.6072 1
P5 0.7000 0.9024 0.3959 1
P6 0.7911 0.8144 0.8992 1
O1 0.0193 0.2702 0.2096 1
O2 0.0615 0.4620 0.6593 1
O3 0.1365 0.5481 0.1287 1
O4 0.1585 0.1096 0.7178 1
O5 0.1804 0.9435 0.3776 1
O6 0.2215 0.0599 0.0234 1
O7 0.2676 0.6572 0.2592 1
O8 0.2975 0.7770 0.9144 1
O9 0.3429 0.5857 0.5785 1
O10 0.3812 0.1394 0.1482 1
O11 0.4587 0.2276 0.6335 1
O12 0.4890 0.4448 0.0756 1
O13 0.5093 0.9248 0.5545 1
O14 0.5457 0.3653 0.7716 1
O15 0.6191 0.8509 0.8616 1
O16 0.6680 0.4144 0.4142 1
O17 0.7030 0.0840 0.2221 1
O18 0.7296 0.7386 0.3436 1
O19 0.7797 0.9760 0.9395 1
O20 0.8131 0.6225 0.0631 1
O21 0.8426 0.2833 0.8861 1
O22 0.8616 0.8682 0.4520 1
O23 0.9469 0.3325 0.5323 1
O24 0.9820 0.7813 0.7364 1
```

Peak list (10 most intense, 2θ from 10° to 90°, by angle)
- 14.4°, 6.142 Å, I 21
- 20.3°, 4.385 Å, I 27
- 20.6°, 4.304 Å, I 60
- 24.0°, 3.713 Å, I 100
- 24.0°, 3.701 Å, I 20
- 29.1°, 3.072 Å, I 36
- 31.4°, 2.845 Å, I 19
- 32.8°, 2.728 Å, I 34
- 35.4°, 2.534 Å, I 17
- 49.1°, 1.855 Å, I 11


No. 4
Structure and calculated powder X-ray diffraction pattern of NaAl6Fe3Si6B3H3O30F (a cell relaxed with PBE+U; CuKα).
Lines closer than 0.1° are merged.

Crystal structure
```
data_NaAl6Fe3Si6B3H3O30F
_symmetry_space_group_name_H-M 'P 1'
_symmetry_Int_Tables_number 1
_cell_length_a 9.5917
_cell_length_b 9.5917
_cell_length_c 9.5917
_cell_angle_alpha 113.85
_cell_angle_beta 113.85
_cell_angle_gamma 113.85
loop_
_symmetry_equiv_pos_as_xyz
'x,y,z'
loop_
_atom_site_label
_atom_site_fract_x
_atom_site_fract_y
_atom_site_fract_z
_atom_site_occupancy
Na1 0.0000 0.0000 0.0000 1
Al1 0.1301 0.3537 0.6872 1
Al2 0.1301 0.6872 0.3537 1
Al3 0.3537 0.1301 0.6872 1
Al4 0.3537 0.6872 0.1301 1
Al5 0.6872 0.1301 0.3537 1
Al6 0.6872 0.3537 0.1301 1
Fe1 0.3575 0.3575 0.5245 1
Fe2 0.3575 0.5245 0.3575 1
Fe3 0.5245 0.3575 0.3575 1
Si1 0.5861 0.7749 0.9685 1
Si2 0.5861 0.9685 0.7749 1
Si3 0.7749 0.5861 0.9685 1
Si4 0.7749 0.9685 0.5861 1
Si5 0.9685 0.5861 0.7749 1
Si6 0.9685 0.7749 0.5861 1
B1 0.0074 0.3410 0.3410 1
B2 0.3410 0.0074 0.3410 1
B3 0.3410 0.3410 0.0074 1
H1 0.0259 0.0259 0.4236 1
H2 0.0259 0.4236 0.0259 1
H3 0.4236 0.0259 0.0259 1
O1 0.0540 0.7740 0.7740 1
O2 0.1229 0.3091 0.3091 1
O3 0.1450 0.5738 0.8595 1
O4 0.1450 0.8595 0.5738 1
O5 0.1564 0.1564 0.5627 1
O6 0.1564 0.5627 0.1564 1
O7 0.2834 0.4326 0.9492 1
O8 0.2834 0.9492 0.4326 1
O9 0.3091 0.1229 0.3091 1
O10 0.3091 0.3091 0.1229 1
O11 0.3662 0.5463 0.7500 1
O12 0.3662 0.7500 0.5463 1
O13 0.4326 0.2834 0.9492 1
O14 0.4326 0.9492 0.2834 1
O15 0.5463 0.3662 0.7500 1
O16 0.5463 0.7500 0.3662 1
O17 0.5627 0.1564 0.1564 1
O18 0.5738 0.1450 0.8595 1
O19 0.5738 0.8595 0.1450 1
O20 0.6615 0.9410 0.9410 1
O21 0.7500 0.3662 0.5463 1
O22 0.7500 0.5463 0.3662 1
O23 0.7740 0.0540 0.7740 1
O24 0.7740 0.7740 0.0540 1
O25 0.8595 0.1450 0.5738 1
O26 0.8595 0.5738 0.1450 1
O27 0.9410 0.6615 0.9410 1
O28 0.9410 0.9410 0.6615 1
O29 0.9492 0.2834 0.4326 1
O30 0.9492 0.4326 0.2834 1
F1 0.6302 0.6302 0.6302 1
```

Peak list (10 most intense, 2θ from 10° to 90°, by angle)
- 13.7°, 6.443 Å, I 70
- 19.1°, 4.640 Å, I 21
- 20.8°, 4.262 Å, I 51
- 22.1°, 4.019 Å, I 37
- 25.3°, 3.516 Å, I 48
- 29.9°, 2.990 Å, I 48
- 34.5°, 2.600 Å, I 100
- 44.0°, 2.060 Å, I 48
- 44.5°, 2.038 Å, I 17
- 54.8°, 1.676 Å, I 24